[1]
Calculated PXRD pattern of Ga2CoCl8 for Cu Kα (λ = 1.5418 Å), from a cell relaxed with GGA-PBE.
No peak broadening, texture or thermal motion is included.

Peak list (8 most intense, 2θ = 10–80°, by angle)
2theta, I/Imax
12.28, 78
12.61, 100
17.82, 36
18.40, 67
25.08, 30
28.92, 32
29.42, 55
44.31, 39

```
data_Ga2CoCl8
_space_group_name_H-M_alt 'P 1'
_space_group_IT_number 1
_cell_length_a 9.8597
_cell_length_b 9.8597
_cell_length_c 11.7723
_cell_angle_alpha 123.93
_cell_angle_beta 123.93
_cell_angle_gamma 50.45
loop_
_space_group_symop_operation_xyz
'x,y,z'
loop_
_atom_site_label
_atom_site_type_symbol
_atom_site_fract_x
_atom_site_fract_y
_atom_site_fract_z
Ga1 Ga 0.1529 0.6818 0.9688
Ga2 Ga 0.3182 0.8471 0.5312
Ga3 Ga 0.6818 0.1529 0.4688
Ga4 Ga 0.8471 0.3182 0.0312
Co1 Co 0.0063 0.9937 0.2500
Co2 Co 0.9937 0.0063 0.7500
Cl1 Cl 0.1256 0.1570 0.0034
Cl2 Cl 0.1308 0.7113 0.7832
Cl3 Cl 0.1542 0.7204 0.3182
Cl4 Cl 0.1570 0.1256 0.5034
Cl5 Cl 0.2796 0.8458 0.1818
Cl6 Cl 0.2887 0.8692 0.7168
Cl7 Cl 0.2944 0.3926 0.9407
Cl8 Cl 0.3926 0.2944 0.4407
Cl9 Cl 0.6074 0.7056 0.5593
Cl10 Cl 0.7056 0.6074 0.0593
Cl11 Cl 0.7113 0.1308 0.2832
Cl12 Cl 0.7204 0.1542 0.8182
Cl13 Cl 0.8430 0.8744 0.4966
Cl14 Cl 0.8458 0.2796 0.6818
Cl15 Cl 0.8692 0.2887 0.2168
Cl16 Cl 0.8744 0.8430 0.9966
```

[2]
Calculated PXRD pattern of Gd6CoCl10 for Cu Kα (λ = 1.5418 Å), from a cell relaxed with GGA-PBE.
No peak broadening, texture or thermal motion is included.

Peak list (8 most intense, 2θ = 10–80°, by angle)
2theta, I/Imax
10.67, 100
11.09, 97
12.22, 45
13.12, 41
26.64, 30
30.75, 78
31.42, 74
31.86, 74

```
data_Gd6CoCl10
_space_group_name_H-M_alt 'P 1'
_space_group_IT_number 1
_cell_length_a 7.1952
_cell_length_b 8.9272
_cell_length_c 8.9850
_cell_angle_alpha 108.88
_cell_angle_beta 96.57
_cell_angle_gamma 105.80
loop_
_space_group_symop_operation_xyz
'x,y,z'
loop_
_atom_site_label
_atom_site_type_symbol
_atom_site_fract_x
_atom_site_fract_y
_atom_site_fract_z
Gd1 Gd 0.0342 0.1994 0.4003
Gd2 Gd 0.1370 0.5560 0.2567
Gd3 Gd 0.3612 0.6394 0.6892
Gd4 Gd 0.6388 0.3607 0.3108
Gd5 Gd 0.8630 0.4440 0.7433
Gd6 Gd 0.9658 0.8006 0.5997
Co1 Co 0.0000 0.5000 0.5000
Cl1 Cl 0.0897 0.8717 0.3386
Cl2 Cl 0.2198 0.2532 0.1564
Cl3 Cl 0.2364 0.5775 0.9514
Cl4 Cl 0.3414 0.9512 0.7777
Cl5 Cl 0.4523 0.3260 0.5753
Cl6 Cl 0.5477 0.6740 0.4247
Cl7 Cl 0.6586 0.0488 0.2223
Cl8 Cl 0.7636 0.4225 0.0486
Cl9 Cl 0.7802 0.7468 0.8436
Cl10 Cl 0.9103 0.1283 0.6614
```